Theoretical PXRD pattern of Rb3As2S4 for Cu Kα, 1.54184 Å, from a cell relaxed with PBE.
Peak positions follow from Bragg's law for the DFT cell and can differ from measured ones.

Main lines, in order of falling intensity (10° ≤ 2θ ≤ 80°):
d/Å	intensity
3.760	100
5.836	45
2.884	37
3.890	34
2.910	33
2.574	32

Cell and atoms:
abc: 9.0568 9.0568 8.6766
angles: 93.48 93.48 64.80
Sites, in units of the cell vectors:
Rb1 0.0165 0.9835 0.7500
Rb2 0.2689 0.4673 0.1132
Rb3 0.4673 0.2689 0.6132
Rb4 0.5327 0.7311 0.3868
Rb5 0.7311 0.5327 0.8868
Rb6 0.9835 0.0165 0.2500
As1 0.0304 0.3454 0.5313
As2 0.3454 0.0304 0.0313
As3 0.6546 0.9696 0.9687
As4 0.9696 0.6546 0.4687
S1 0.1140 0.3245 0.7763
S2 0.2116 0.6611 0.4839
S3 0.3245 0.1140 0.2763
S4 0.3389 0.7884 0.0161
S5 0.6611 0.2116 0.9839
S6 0.6755 0.8860 0.7237
S7 0.7884 0.3389 0.5161
S8 0.8860 0.6755 0.2237

***

Theoretical PXRD pattern of Rb2SbAs2S6 for Cu Kα, 1.54184 Å, from a cell relaxed with PBE.
Peak positions follow from Bragg's law for the DFT cell and can differ from measured ones.

Main lines, in order of falling intensity (10° ≤ 2θ ≤ 80°):
d/Å	intensity
3.625	100
3.604	85
2.690	59
3.531	53
4.119	46
2.754	31

Cell and atoms:
abc: 7.2551 7.2551 8.2264
angles: 114.82 114.82 59.63
Sites, in units of the cell vectors:
Rb1 0.2160 0.2160 0.2119
Rb2 0.7840 0.7840 0.7881
Sb1 0.0000 0.0000 0.5000
As1 0.4520 0.4520 0.8104
As2 0.5480 0.5480 0.1896
S1 0.2065 0.7167 0.2263
S2 0.2500 0.2500 0.6867
S3 0.2833 0.7935 0.7737
S4 0.7167 0.2065 0.2263
S5 0.7500 0.7500 0.3133
S6 0.7935 0.2833 0.7737

***

Theoretical PXRD pattern of Rb2SrAsS4 for Cu Kα, 1.54184 Å, from a cell relaxed with PBE.
Peak positions follow from Bragg's law for the DFT cell and can differ from measured ones.

Main lines, in order of falling intensity (10° ≤ 2θ ≤ 80°):
d/Å	intensity
6.542	100
3.725	66
3.050	56
3.125	55
3.558	46
2.667	35

Cell and atoms:
abc: 14.9160 13.5107 7.9164
angles: 83.90 64.25 31.85
Sites, in units of the cell vectors:
Rb1 0.0661 0.0661 0.6839
Rb2 0.3161 0.3161 0.9339
Rb3 0.6839 0.6839 0.0661
Rb4 0.9339 0.9339 0.3161
Sr1 0.1250 0.1250 0.1250
Sr2 0.8750 0.8750 0.8750
As1 0.3750 0.3750 0.3750
As2 0.6250 0.6250 0.6250
S1 0.0267 0.6272 0.5175
S2 0.3285 0.5175 0.6272
S3 0.3728 0.9733 0.6715
S4 0.4825 0.6715 0.9733
S5 0.5175 0.3285 0.0267
S6 0.6272 0.0267 0.3285
S7 0.6715 0.4825 0.3728
S8 0.9733 0.3728 0.4825

***

Theoretical PXRD pattern of Rb2ZrAs2S6 for Cu Kα, 1.54184 Å, from a cell relaxed with PBE.
Peak positions follow from Bragg's law for the DFT cell and can differ from measured ones.

Main lines, in order of falling intensity (10° ≤ 2θ ≤ 80°):
d/Å	intensity
3.608	100
3.223	71
2.584	39
3.534	38
1.902	31
3.788	27

Cell and atoms:
abc: 6.5080 6.5080 8.4062
angles: 106.15 106.15 65.79
Sites, in units of the cell vectors:
Rb1 0.1903 0.1903 0.1234
Rb2 0.8097 0.8097 0.8766
Zr1 0.0000 0.0000 0.5000
As1 0.4099 0.4099 0.7673
As2 0.5901 0.5901 0.2327
S1 0.2110 0.7162 0.2557
S2 0.2400 0.2400 0.5303
S3 0.2838 0.7890 0.7443
S4 0.7162 0.2110 0.2557
S5 0.7600 0.7600 0.4697
S6 0.7890 0.2838 0.7443

***

Theoretical PXRD pattern of Rb2Sn2Sb2As for Cu Kα, 1.54184 Å, from a cell relaxed with PBE.
Peak positions follow from Bragg's law for the DFT cell and can differ from measured ones.

Main lines, in order of falling intensity (10° ≤ 2θ ≤ 80°):
d/Å	intensity
2.616	100
6.620	95
3.647	65
3.605	61
3.178	44
3.081	44

Cell and atoms:
abc: 5.3445 7.6828 8.4519
angles: 63.02 88.31 76.09
Sites, in units of the cell vectors:
Rb1 0.1105 0.1676 0.2011
Rb2 0.8895 0.8324 0.7989
Sn1 0.3785 0.6125 0.2499
Sn2 0.6215 0.3875 0.7501
Sb1 0.1951 0.3129 0.5803
Sb2 0.8049 0.6871 0.4197
As1 0.5000 0.5000 0.0000

***

Theoretical PXRD pattern of Rb3AsSe16 for Cu Kα, 1.54184 Å, from a cell relaxed with PBE.
Peak positions follow from Bragg's law for the DFT cell and can differ from measured ones.

Main lines, in order of falling intensity (10° ≤ 2θ ≤ 80°):
d/Å	intensity
3.290	100
3.490	59
2.890	53
2.285	34
1.912	30
2.850	29

Cell and atoms:
abc: 12.0898 12.0898 12.0898
angles: 60.00 60.00 60.00
Sites, in units of the cell vectors:
Rb1 0.0000 0.0000 0.0000
Rb2 0.0000 0.0000 0.5000
Rb3 0.0000 0.5000 0.0000
Rb4 0.3750 0.3750 0.3750
Rb5 0.5000 0.0000 0.0000
Rb6 0.6250 0.6250 0.6250
As1 0.1250 0.1250 0.1250
As2 0.8750 0.8750 0.8750
Se1 0.0511 0.3126 0.6741
Se2 0.0511 0.4622 0.3126
Se3 0.0511 0.6741 0.4622
Se4 0.1151 0.7950 0.7950
Se5 0.2050 0.2050 0.2050
Se6 0.2050 0.2050 0.8849
Se7 0.2050 0.8849 0.2050
Se8 0.3126 0.0511 0.4622
Se9 0.3126 0.4622 0.6741
Se10 0.3126 0.6741 0.0511
Se11 0.3259 0.5378 0.9489
Se12 0.3259 0.6874 0.5378
Se13 0.3259 0.9489 0.6874
Se14 0.4622 0.0511 0.6741
Se15 0.4622 0.3126 0.0511
Se16 0.4622 0.6741 0.3126
Se17 0.5378 0.3259 0.6874
Se18 0.5378 0.6874 0.9489
Se19 0.5378 0.9489 0.3259
Se20 0.6741 0.0511 0.3126
Se21 0.6741 0.3126 0.4622
Se22 0.6741 0.4622 0.0511
Se23 0.6874 0.3259 0.9489
Se24 0.6874 0.5378 0.3259
Se25 0.6874 0.9489 0.5378
Se26 0.7950 0.1151 0.7950
Se27 0.7950 0.7950 0.1151
Se28 0.7950 0.7950 0.7950
Se29 0.8849 0.2050 0.2050
Se30 0.9489 0.3259 0.5378
Se31 0.9489 0.5378 0.6874
Se32 0.9489 0.6874 0.3259

***

Theoretical PXRD pattern of Rb2As2Se5 for Cu Kα, 1.54184 Å, from a cell relaxed with PBE.
Peak positions follow from Bragg's law for the DFT cell and can differ from measured ones.

Main lines, in order of falling intensity (10° ≤ 2θ ≤ 80°):
d/Å	intensity
3.030	100
8.605	89
2.550	75
2.926	74
2.385	69
3.992	64

Cell and atoms:
abc: 7.6020 7.6020 9.0643
angles: 107.23 107.23 39.19
Sites, in units of the cell vectors:
Rb1 0.0767 0.0767 0.3340
Rb2 0.9233 0.9233 0.6660
As1 0.3407 0.3407 0.0890
As2 0.6593 0.6593 0.9110
Se1 0.1519 0.1519 0.9993
Se2 0.4005 0.4005 0.3615
Se3 0.5000 0.5000 0.0000
Se4 0.5995 0.5995 0.6385
Se5 0.8481 0.8481 0.0007

***

Theoretical PXRD pattern of Rb3AsSe3 for Cu Kα, 1.54184 Å, from a cell relaxed with PBE.
Peak positions follow from Bragg's law for the DFT cell and can differ from measured ones.

Main lines, in order of falling intensity (10° ≤ 2θ ≤ 80°):
d/Å	intensity
2.629	100
3.325	98
2.742	76
3.158	66
3.455	54
2.859	51

Cell and atoms:
abc: 13.4708 5.2572 14.6288
angles: 90.00 90.00 90.00
Sites, in units of the cell vectors:
Rb1 0.0719 0.2500 0.1032
Rb2 0.1343 0.7500 0.4806
Rb3 0.2305 0.7500 0.7870
Rb4 0.2695 0.2500 0.2870
Rb5 0.3657 0.2500 0.9806
Rb6 0.4281 0.7500 0.6032
Rb7 0.5719 0.2500 0.3968
Rb8 0.6343 0.7500 0.0194
Rb9 0.7305 0.7500 0.7130
Rb10 0.7695 0.2500 0.2130
Rb11 0.8657 0.2500 0.5194
Rb12 0.9281 0.7500 0.8968
As1 0.0569 0.2500 0.7015
As2 0.4431 0.7500 0.2015
As3 0.5569 0.2500 0.7985
As4 0.9431 0.7500 0.2985
Se1 0.0086 0.2500 0.3286
Se2 0.0960 0.2500 0.8667
Se3 0.2181 0.2500 0.6248
Se4 0.2819 0.7500 0.1248
Se5 0.4040 0.7500 0.3667
Se6 0.4914 0.7500 0.8286
Se7 0.5086 0.2500 0.1714
Se8 0.5960 0.2500 0.6333
Se9 0.7181 0.2500 0.8752
Se10 0.7819 0.7500 0.3752
Se11 0.9040 0.7500 0.1333
Se12 0.9914 0.7500 0.6714